Calculated X-ray powder pattern of La2GeI2 for Cu Kα (λ = 1.5418 Å), from a DFT-relaxed cell (GGA-PBE, the Materials Project).

The 8 most intense peaks (10 to 90 degrees two-theta), sorted by position:
2θ (°), intensity
26.63, 100.0
29.85, 18.5
31.72, 22.2
35.83, 18.3
40.09, 42.9
42.76, 23.3
48.78, 18.8
66.08, 16.4

```
data_La2GeI2
_symmetry_space_group_name_H-M 'P 1'
_symmetry_Int_Tables_number 1
_cell_length_a 11.2155
_cell_length_b 11.2155
_cell_length_c 11.2155
_cell_angle_alpha 23.13
_cell_angle_beta 23.13
_cell_angle_gamma 23.13
loop_
_symmetry_equiv_pos_as_xyz
'x,y,z'
loop_
_atom_site_label
_atom_site_type_symbol
_atom_site_fract_x
_atom_site_fract_y
_atom_site_fract_z
La1 La 0.1150 0.1150 0.1150
La2 La 0.8850 0.8850 0.8850
Ge1 Ge 0.5000 0.5000 0.5000
I1 I 0.2814 0.2814 0.2814
I2 I 0.7186 0.7186 0.7186
```